No. 1
Computed XRD peak list of ZnIn6Hg9 for Cu Kα, 1.54184 Å, from DFT lattice parameters and positions (GGA-PBE).

Atomic structure:
Unit cell a=7.4899 b=7.6708 c=8.3533 alpha=110.90 beta=103.02 gamma=96.91
Space group P-1 (No. 2)
Asymmetric unit:
Zn1 0.0000 0.0000 0.0000 [1 per cell]
In1 0.1354 0.3812 0.0649 [2 per cell]
In2 0.1949 0.1525 0.3843 [2 per cell]
In3 0.3359 0.8612 0.0269 [2 per cell]
Hg1 0.0641 0.4396 0.6600 [2 per cell]
Hg2 0.2293 0.0504 0.7296 [2 per cell]
Hg3 0.3469 0.7868 0.3776 [2 per cell]
Hg4 0.4619 0.6445 0.6785 [2 per cell]
Hg5 0.5000 0.5000 0.0000 [1 per cell]

The 6 most intense peaks (2θ = 5–70°), sorted by position:
Position (°2θ)  I (rel.)
30.56  100.0
31.15  43.0
36.07  25.1
36.79  22.9
37.29  30.6
39.19  26.9


No. 2
Computed XRD peak list of Nb6ReOs5 for Cu Kα, 1.54184 Å, from DFT lattice parameters and positions (GGA-PBE).

Atomic structure:
Unit cell a=4.5824 b=6.2238 c=7.1065 alpha=90.00 beta=104.85 gamma=90.00
Space group P2/m (No. 10)
Asymmetric unit:
Nb1 0.0000 0.2492 0.0000 [2 per cell]
Nb2 0.3208 0.2499 0.6757 [4 per cell]
Re1 0.5000 0.5000 0.0000 [1 per cell]
Os1 0.1917 0.5000 0.3454 [2 per cell]
Os2 0.1951 0.0000 0.3458 [2 per cell]
Os3 0.5000 0.0000 0.0000 [1 per cell]

The 6 most intense peaks (2θ = 5–70°), sorted by position:
Position (°2θ)  I (rel.)
39.39  100.0
39.52  99.6
40.89  92.2
54.78  17.8
59.01  15.3
59.40  15.5